Record 1
MgMn6O4F8: simulated X-ray diffraction stick pattern (Cu Kα, 1.54184 Å), based on DFT lattice parameters and positions (PBE+U).
No peak broadening, texture or thermal motion is included.

Cell and atoms:
Cell lengths 5.410, 5.981, 7.876 Å; angles 83.16, 88.56, 87.59 degrees
Space group P1 (No. 1)
One atom of each set of equivalent atoms:
Mg: 0.000 0.000 0.000 (multiplicity 1)
Mn: 0.006 0.984 0.532 (multiplicity 1)
Mn: 0.084 0.399 0.221 (multiplicity 1)
Mn: 0.512 0.485 0.518 (multiplicity 1)
Mn: 0.522 0.844 0.199 (multiplicity 1)
Mn: 0.542 0.128 0.834 (multiplicity 1)
Mn: 0.928 0.593 0.814 (multiplicity 1)
O: 0.378 0.544 0.298 (multiplicity 1)
O: 0.646 0.425 0.742 (multiplicity 1)
O: 0.664 0.120 0.057 (multiplicity 1)
O: 0.859 0.936 0.774 (multiplicity 1)
F: 0.134 0.315 0.955 (multiplicity 1)
F: 0.145 0.029 0.255 (multiplicity 1)
F: 0.203 0.654 0.609 (multiplicity 1)
F: 0.327 0.867 0.943 (multiplicity 1)
F: 0.345 0.157 0.609 (multiplicity 1)
F: 0.713 0.787 0.440 (multiplicity 1)
F: 0.828 0.303 0.425 (multiplicity 1)
F: 0.889 0.676 0.091 (multiplicity 1)

Largest 10 diffraction maxima, by intensity, 2θ = 10–80°:
2θ 24.76, d = 3.596 Å, intensity 100, (-1 1 1)
2θ 23.62, d = 3.766 Å, intensity 81, (1 1 1)
2θ 33.20, d = 2.698 Å, intensity 43, (1 1 -2)
2θ 50.81, d = 1.797 Å, intensity 37, (-2 2 2)
2θ 49.73, d = 1.834 Å, intensity 29, (1 -3 0)
2θ 30.11, d = 2.968 Å, intensity 28, (1 1 2)
2θ 48.37, d = 1.882 Å, intensity 27, (1 3 0)
2θ 38.02, d = 2.367 Å, intensity 25, (1 0 3)
2θ 37.11, d = 2.423 Å, intensity 24, (1 2 -1)
2θ 38.60, d = 2.332 Å, intensity 24, (-2 1 1)


Record 2
PbWO4: simulated X-ray diffraction stick pattern (Cu Kα, 1.54184 Å), based on DFT lattice parameters and positions (PBE+U).
No peak broadening, texture or thermal motion is included.

Cell and atoms:
Cell lengths 7.874, 5.827, 7.981 Å; angles 90.00, 105.30, 90.00 degrees
Space group P2_1/c (No. 14)
One atom of each set of equivalent atoms:
Pb: 0.140 0.240 0.419 (multiplicity 4)
W: 0.327 0.749 0.227 (multiplicity 4)
O: 0.137 0.530 0.167 (multiplicity 4)
O: 0.152 0.523 0.655 (multiplicity 4)
O: 0.335 0.730 0.961 (multiplicity 4)
O: 0.487 0.022 0.757 (multiplicity 4)

Largest 10 diffraction maxima, by intensity, 2θ = 10–80°:
2θ 28.05, d = 3.182 Å, intensity 100, (2 1 0)
2θ 27.67, d = 3.224 Å, intensity 81, (1 1 -2)
2θ 27.78, d = 3.212 Å, intensity 40, (0 1 2)
2θ 30.68, d = 2.914 Å, intensity 38, (0 2 0)
2θ 48.80, d = 1.866 Å, intensity 25, (3 2 -2)
2θ 52.95, d = 1.729 Å, intensity 19, (2 3 0)
2θ 45.46, d = 1.995 Å, intensity 19, (1 0 -4)
2θ 52.75, d = 1.735 Å, intensity 19, (1 3 -2)
2θ 54.51, d = 1.683 Å, intensity 18, (1 1 4)
2θ 28.63, d = 3.118 Å, intensity 18, (1 0 2)


Record 3
Sr4Mn2CoO9: simulated X-ray diffraction stick pattern (Cu Kα, 1.54184 Å), based on DFT lattice parameters and positions (PBE+U).
No peak broadening, texture or thermal motion is included.

Cell and atoms:
Cell lengths 9.6971, 9.6971, 7.8873 Å; angles 90.00, 90.00, 120.00 degrees
Space group P321 (No. 150)
One atom of each set of equivalent atoms:
Sr: 0.0000 0.3276 0.0000 (multiplicity 3)
Sr: 0.0000 0.3575 0.5000 (multiplicity 3)
Sr: 0.0239 0.6904 0.2498 (multiplicity 6)
Mn: 0.0000 0.0000 0.1646 (multiplicity 2)
Mn: 0.3333 0.6667 0.0722 (multiplicity 2)
Mn: 0.3333 0.6667 0.4054 (multiplicity 2)
Co: 0.0000 0.0000 0.5000 (multiplicity 1)
Co: 0.3333 0.6667 0.7410 (multiplicity 2)
O: 0.0000 0.8477 0.0000 (multiplicity 3)
O: 0.0078 0.1649 0.6979 (multiplicity 6)
O: 0.1704 0.5191 0.2404 (multiplicity 6)
O: 0.1815 0.6822 0.5443 (multiplicity 6)
O: 0.1830 0.6794 0.9341 (multiplicity 6)

Largest 10 diffraction maxima, by intensity, 2θ = 10–80°:
2θ 31.97, d = 2.799 Å, intensity 100, (3 0 0)
2θ 29.19, d = 3.059 Å, intensity 86, (1 1 2)
2θ 43.84, d = 2.065 Å, intensity 58, (2 2 2)
2θ 55.28, d = 1.662 Å, intensity 21, (1 4 2)
2θ 44.76, d = 2.025 Å, intensity 18, (2 1 3)
2θ 57.14, d = 1.612 Å, intensity 18, (3 0 4)
2θ 66.84, d = 1.400 Å, intensity 17, (6 0 0)
2θ 56.98, d = 1.616 Å, intensity 16, (3 3 0)
2θ 59.47, d = 1.554 Å, intensity 14, (3 2 3)
2θ 40.48, d = 2.228 Å, intensity 11, (0 2 3)


Record 4
Ni3Sb4O6F6: simulated X-ray diffraction stick pattern (Cu Kα, 1.54184 Å), based on DFT lattice parameters and positions (PBE+U).
No peak broadening, texture or thermal motion is included.

Cell and atoms:
Cell lengths 8.204, 8.204, 8.204 Å; angles 90.00, 90.00, 90.00 degrees
Space group I-43m (No. 217)
One atom of each set of equivalent atoms:
Ni: 0.000 0.000 0.500 (multiplicity 6)
Sb: 0.162 0.162 0.838 (multiplicity 8)
O: 0.000 0.000 0.252 (multiplicity 12)
F: 0.000 0.250 0.500 (multiplicity 12)

Largest 10 diffraction maxima, by intensity, 2θ = 10–80°:
2θ 26.61, d = 3.349 Å, intensity 100, (2 1 1)
2θ 34.57, d = 2.594 Å, intensity 47, (3 1 0)
2θ 46.99, d = 1.934 Å, intensity 35, (3 3 0)
2θ 49.70, d = 1.834 Å, intensity 24, (4 2 0)
2θ 61.95, d = 1.498 Å, intensity 20, (5 2 1)
2θ 30.83, d = 2.901 Å, intensity 15, (2 2 0)
2θ 37.99, d = 2.368 Å, intensity 14, (2 2 2)
2θ 68.64, d = 1.367 Å, intensity 14, (6 0 0)
2θ 66.45, d = 1.407 Å, intensity 12, (4 3 3)
2θ 54.82, d = 1.675 Å, intensity 12, (4 2 2)


Record 5
Zn3Co9O16: simulated X-ray diffraction stick pattern (Cu Kα, 1.54184 Å), based on DFT lattice parameters and positions (PBE+U).
No peak broadening, texture or thermal motion is included.

Cell and atoms:
Cell lengths 5.7813, 5.7813, 28.5318 Å; angles 90.00, 90.00, 120.00 degrees
Space group R3m (No. 160, hexagonal axes)
One atom of each set of equivalent atoms:
Zn: 0.0000 0.0000 0.0000 (multiplicity 3)
Zn: 0.0000 0.0000 0.1234 (multiplicity 3)
Zn: 0.0000 0.0000 0.3116 (multiplicity 3)
Co: 0.0000 0.0000 0.4995 (multiplicity 3)
Co: 0.0000 0.0000 0.6235 (multiplicity 3)
Co: 0.0000 0.0000 0.8116 (multiplicity 3)
Co: 0.0016 0.5008 0.5604 (multiplicity 9)
Co: 0.1670 0.3339 0.3962 (multiplicity 9)
O: 0.0000 0.0000 0.1929 (multiplicity 3)
O: 0.0000 0.0000 0.4308 (multiplicity 3)
O: 0.0000 0.0000 0.6935 (multiplicity 3)
O: 0.0000 0.0000 0.9291 (multiplicity 3)
O: 0.0218 0.5109 0.9305 (multiplicity 9)
O: 0.0393 0.5197 0.4349 (multiplicity 9)
O: 0.1806 0.3612 0.0261 (multiplicity 9)
O: 0.1858 0.3716 0.5216 (multiplicity 9)

Largest 10 diffraction maxima, by intensity, 2θ = 10–80°:
2θ 36.39, d = 2.469 Å, intensity 100, (1 1 6)
2θ 58.57, d = 1.576 Å, intensity 38, (2 1 10)
2θ 36.24, d = 2.479 Å, intensity 36, (1 0 10)
2θ 64.47, d = 1.445 Å, intensity 29, (2 2 0)
2θ 64.12, d = 1.452 Å, intensity 28, (0 2 16)
2θ 30.94, d = 2.891 Å, intensity 23, (1 1 0)
2θ 44.20, d = 2.049 Å, intensity 23, (2 0 8)
2θ 30.78, d = 2.905 Å, intensity 20, (0 1 8)
2θ 38.10, d = 2.362 Å, intensity 11, (0 2 4)
2θ 58.39, d = 1.580 Å, intensity 10, (2 0 14)